# Tb3Dy6Ho2
Calculated powder XRD pattern, a wavelength of 1.5418 Å. Input: DFT lattice parameters and positions (GGA-PBE).
Kinematic intensities with the Lorentz-polarization factor, no thermal factor.

Most intense lines, 2θ from 15° to 90°, in order of rising 2θ:
| d_spacing | 2theta | Rel. int. |
| --- | --- | --- |
| 2.885 | 31.0 | 100.0 |
| 2.499 | 35.9 | 50.6 |
| 1.769 | 51.7 | 18.0 |
| 1.765 | 51.8 | 17.9 |
| 1.507 | 61.5 | 32.1 |
| 1.505 | 61.6 | 10.6 |
| 1.444 | 64.6 | 9.3 |
| 1.148 | 84.4 | 9.0 |
| 1.118 | 87.2 | 8.4 |
| 1.117 | 87.3 | 8.3 |

Atomic structure:
Unit cell a=31.7484 b=31.7484 c=31.7484 alpha=6.39 beta=6.39 gamma=6.39
Fractional coordinates of all 11 atoms:
Tb (0.0000, 0.0000, 0.0000)
Tb (0.2725, 0.2725, 0.2725)
Tb (0.7275, 0.7275, 0.7275)
Dy (0.0912, 0.0912, 0.0912)
Dy (0.1818, 0.1818, 0.1818)
Dy (0.3637, 0.3637, 0.3637)
Dy (0.6363, 0.6363, 0.6363)
Dy (0.8182, 0.8182, 0.8182)
Dy (0.9088, 0.9088, 0.9088)
Ho (0.4547, 0.4547, 0.4547)
Ho (0.5453, 0.5453, 0.5453)

---

# Sc5Co2Te
Calculated powder XRD pattern, a wavelength of 1.5418 Å. Input: DFT lattice parameters and positions (GGA-PBE).
Kinematic intensities with the Lorentz-polarization factor, no thermal factor.

Most intense lines, 2θ from 15° to 90°, in order of rising 2θ:
| d_spacing | 2theta | Rel. int. |
| --- | --- | --- |
| 3.951 | 22.5 | 64.9 |
| 2.783 | 32.2 | 45.0 |
| 2.542 | 35.3 | 100.0 |
| 2.429 | 37.0 | 22.2 |
| 2.415 | 37.2 | 53.7 |
| 2.173 | 41.6 | 85.7 |
| 2.035 | 44.5 | 36.1 |
| 1.830 | 49.8 | 19.0 |
| 1.698 | 54.0 | 18.3 |
| 1.338 | 70.4 | 31.8 |

Atomic structure:
Unit cell a=8.3499 b=8.3499 c=8.3499 alpha=131.42 beta=131.42 gamma=71.15
Fractional coordinates of all 16 atoms:
Sc (0.0000, 0.0000, 0.0000)
Sc (0.0282, 0.5282, 0.8182)
Sc (0.2100, 0.0282, 0.5000)
Sc (0.2900, 0.7900, 0.8182)
Sc (0.4718, 0.2900, 0.5000)
Sc (0.5000, 0.5000, 0.0000)
Sc (0.5282, 0.7100, 0.5000)
Sc (0.7100, 0.2100, 0.1818)
Sc (0.7900, 0.9718, 0.5000)
Sc (0.9718, 0.4718, 0.1818)
Co (0.1366, 0.3634, 0.5000)
Co (0.3634, 0.8634, 0.2269)
Co (0.6366, 0.1366, 0.7731)
Co (0.8634, 0.6366, 0.5000)
Te (0.2500, 0.2500, 0.0000)
Te (0.7500, 0.7500, 0.0000)

---

# CaNd2Pa2Ru5
Calculated powder XRD pattern, a wavelength of 1.5418 Å. Input: DFT lattice parameters and positions (GGA-PBE).
Kinematic intensities with the Lorentz-polarization factor, no thermal factor.

Most intense lines, 2θ from 15° to 90°, in order of rising 2θ:
| d_spacing | 2theta | Rel. int. |
| --- | --- | --- |
| 4.776 | 18.6 | 46.5 |
| 2.590 | 34.6 | 42.2 |
| 2.561 | 35.0 | 100.0 |
| 2.517 | 35.7 | 26.5 |
| 2.365 | 38.1 | 84.2 |
| 2.208 | 40.9 | 53.2 |
| 1.963 | 46.2 | 30.8 |
| 1.565 | 59.0 | 17.8 |
| 1.197 | 80.2 | 22.2 |
| 1.175 | 82.0 | 19.4 |

Atomic structure:
Unit cell a=10.6798 b=10.6798 c=3.9270 alpha=90.00 beta=90.00 gamma=90.00
Fractional coordinates of all 20 atoms:
Ca (0.0000, 0.0000, 0.0000)
Ca (0.5000, 0.5000, 0.0000)
Nd (0.1778, 0.3222, 0.0000)
Nd (0.3222, 0.8222, 0.0000)
Nd (0.6778, 0.1778, 0.0000)
Nd (0.8222, 0.6778, 0.0000)
Pa (0.1240, 0.6240, 0.0000)
Pa (0.3760, 0.1240, 0.0000)
Pa (0.6240, 0.8760, 0.0000)
Pa (0.8760, 0.3760, 0.0000)
Ru (0.0000, 0.5000, 0.5000)
Ru (0.0713, 0.7720, 0.5000)
Ru (0.2280, 0.0713, 0.5000)
Ru (0.2720, 0.5713, 0.5000)
Ru (0.4287, 0.2720, 0.5000)
Ru (0.5000, 0.0000, 0.5000)
Ru (0.5713, 0.7280, 0.5000)
Ru (0.7280, 0.4287, 0.5000)
Ru (0.7720, 0.9287, 0.5000)
Ru (0.9287, 0.2280, 0.5000)

---

Copy entry 2 word for word.
# Sc5Co2Te
Calculated powder XRD pattern, a wavelength of 1.5418 Å. Input: DFT lattice parameters and positions (GGA-PBE).
Kinematic intensities with the Lorentz-polarization factor, no thermal factor.

Most intense lines, 2θ from 15° to 90°, in order of rising 2θ:
| d_spacing | 2theta | Rel. int. |
| --- | --- | --- |
| 3.951 | 22.5 | 64.9 |
| 2.783 | 32.2 | 45.0 |
| 2.542 | 35.3 | 100.0 |
| 2.429 | 37.0 | 22.2 |
| 2.415 | 37.2 | 53.7 |
| 2.173 | 41.6 | 85.7 |
| 2.035 | 44.5 | 36.1 |
| 1.830 | 49.8 | 19.0 |
| 1.698 | 54.0 | 18.3 |
| 1.338 | 70.4 | 31.8 |

Atomic structure:
Unit cell a=8.3499 b=8.3499 c=8.3499 alpha=131.42 beta=131.42 gamma=71.15
Fractional coordinates of all 16 atoms:
Sc (0.0000, 0.0000, 0.0000)
Sc (0.0282, 0.5282, 0.8182)
Sc (0.2100, 0.0282, 0.5000)
Sc (0.2900, 0.7900, 0.8182)
Sc (0.4718, 0.2900, 0.5000)
Sc (0.5000, 0.5000, 0.0000)
Sc (0.5282, 0.7100, 0.5000)
Sc (0.7100, 0.2100, 0.1818)
Sc (0.7900, 0.9718, 0.5000)
Sc (0.9718, 0.4718, 0.1818)
Co (0.1366, 0.3634, 0.5000)
Co (0.3634, 0.8634, 0.2269)
Co (0.6366, 0.1366, 0.7731)
Co (0.8634, 0.6366, 0.5000)
Te (0.2500, 0.2500, 0.0000)
Te (0.7500, 0.7500, 0.0000)